# 1
For YBH6, a cell relaxed with GGA-PBE gives the computed X-ray powder pattern in this record (Cu Kα (weighted mean of Kα1 and Kα2)).
Neutral-atom scattering factors, no anomalous dispersion.

Structural model:
```
8
Lattice="2.9804 1.7207 1.8085 -2.9804 1.7207 1.8085 0.0000 -3.4415 1.8085" Properties=species:S:1:pos:R:3 pbc="T T T"
Y 0.0000 0.0000 0.0000
B 0.0000 0.0000 2.7128
H 0.0000 -1.1407 1.8901
H -0.9879 0.5703 1.8901
H -0.9879 -0.5703 3.5355
H 0.9879 0.5703 1.8901
H 0.9879 -0.5703 3.5355
H 0.0000 1.1407 3.5355
```

Principal peaks in the range 10° ≤ 2θ ≤ 80°, in order of rising 2θ:
2θ (°), I (rel.)
23.79, 100
29.98, 88
37.45, 46
38.63, 28
48.70, 20
49.65, 32
53.23, 15
58.25, 26
59.82, 17
62.31, 10
67.68, 11
75.01, 11


# 2
For YB2H8, a cell relaxed with GGA-PBE gives the computed X-ray powder pattern in this record (Cu Kα (weighted mean of Kα1 and Kα2)).
Neutral-atom scattering factors, no anomalous dispersion.

Structural model:
```
22
Lattice="4.0848 -3.8347 0.0000 4.0848 3.8347 0.0000 -4.0739 0.0000 5.8451" Properties=species:S:1:pos:R:3 pbc="T T T"
Y 1.0294 2.8783 4.3838
Y 3.0663 -2.8783 1.4613
B -1.0147 0.9618 4.3412
B 1.0222 -0.9618 1.4186
B 3.0735 0.9618 4.4264
B 5.1105 -0.9618 1.5039
H -2.0089 0.9683 5.0595
H 1.0852 1.8576 2.2135
H 1.0845 0.0555 0.7120
H -0.9524 -0.0555 3.6345
H -0.0232 0.9576 5.0629
H 0.0280 -0.9683 2.1370
H 5.0474 1.8576 0.7090
H 2.0820 0.9576 3.7047
H 2.0137 -0.9576 2.1403
H -0.9517 -1.8576 5.1360
H 4.0677 0.9683 3.7081
H 4.1190 -0.9576 0.7822
H 5.0481 0.0555 2.2105
H 3.0112 -0.0555 5.1331
H 3.0105 -1.8576 3.6316
H 6.1046 -0.9683 0.7855
```

Principal peaks in the range 10° ≤ 2θ ≤ 80°, in order of rising 2θ:
2θ (°), I (rel.)
17.58, 100
26.62, 20
27.88, 49
30.59, 18
32.01, 31
35.83, 17
37.66, 13
41.88, 11
42.16, 9
43.78, 10
44.87, 23
53.17, 8


# 3
For ZnBH6, a cell relaxed with GGA-PBE gives the computed X-ray powder pattern in this record (Cu Kα (weighted mean of Kα1 and Kα2)).
Neutral-atom scattering factors, no anomalous dispersion.

Structural model:
```
8
Lattice="1.9536 -3.8806 0.0000 1.9536 3.8806 0.0000 -1.0378 0.0000 3.7528" Properties=species:S:1:pos:R:3 pbc="T T T"
Zn 0.0000 0.0000 0.0000
B 1.4347 0.0000 1.8764
H 0.8587 1.0541 1.0982
H 0.3753 0.0000 2.6754
H 0.8587 -1.0541 1.0982
H 2.0107 1.0541 2.6545
H 2.4940 0.0000 1.0774
H 2.0107 -1.0541 2.6545
```

Principal peaks in the range 10° ≤ 2θ ≤ 80°, in order of rising 2θ:
2θ (°), I (rel.)
22.92, 100
23.71, 46
26.30, 73
31.03, 87
33.21, 43
39.90, 41
42.39, 23
45.65, 24
49.57, 15
52.46, 20
54.14, 15
54.31, 15


# 4
For Zr2BH, a cell relaxed with GGA-PBE gives the computed X-ray powder pattern in this record (Cu Kα (weighted mean of Kα1 and Kα2)).
Neutral-atom scattering factors, no anomalous dispersion.

Structural model:
```
4
Lattice="1.7423 1.0059 5.2386 -1.7423 1.0059 5.2386 0.0000 -2.0119 5.2386" Properties=species:S:1:pos:R:3 pbc="T T T"
Zr 0.0000 0.0000 3.8945
Zr 0.0000 0.0000 11.8213
B 0.0000 0.0000 7.8579
H 0.0000 0.0000 0.0000
```

Principal peaks in the range 10° ≤ 2θ ≤ 80°, in order of rising 2θ:
2θ (°), I (rel.)
16.92, 1
31.76, 100
34.23, 27
37.58, 77
52.52, 28
55.84, 23
62.70, 14
64.20, 25
66.36, 13
67.16, 11
72.12, 3


# 5
For ZrB3H12, a cell relaxed with GGA-PBE gives the computed X-ray powder pattern in this record (Cu Kα (weighted mean of Kα1 and Kα2)).
Neutral-atom scattering factors, no anomalous dispersion.

Structural model:
```
32
Lattice="3.7067 2.1401 6.0693 -3.7067 2.1401 6.0693 0.0000 -4.2801 6.0693" Properties=species:S:1:pos:R:3 pbc="T T T"
Zr 0.0000 0.0000 0.0000
Zr 0.0000 0.0000 9.1040
B -1.8616 1.0557 7.5867
B -1.8451 -1.0843 10.6213
B 0.0165 -2.1401 7.5867
B -0.0165 2.1401 10.6213
B 1.8451 1.0843 7.5867
B 1.8616 -1.0557 10.6213
H -3.0703 0.9146 7.7826
H -2.3273 -2.2017 10.4254
H -0.7103 -2.2712 6.5997
H -1.3794 -0.0616 7.3908
H -2.0949 -0.3893 9.6343
H -0.7103 -2.0089 8.5737
H -1.6118 1.7507 6.5997
H -2.3221 -0.5205 11.6084
H 0.7431 -3.1163 7.7826
H -1.3846 1.6196 8.5737
H -0.6363 -1.2254 10.8173
H 0.7431 -1.1638 7.3908
H -0.7431 1.1638 10.8173
H 0.6363 1.2254 7.3908
H 1.3846 -1.6196 9.6343
H -0.7431 3.1163 10.4254
H 2.3221 0.5205 6.5997
H 1.6118 -1.7507 11.6084
H 0.7103 2.0089 9.6343
H 2.0949 0.3893 8.5737
H 1.3794 0.0616 10.8173
H 0.7103 2.2712 11.6084
H 2.3273 2.2017 7.7826
H 3.0703 -0.9146 10.4254
```

Principal peaks in the range 10° ≤ 2θ ≤ 80°, in order of rising 2θ:
2θ (°), I (rel.)
16.90, 100
23.99, 46
29.49, 11
34.18, 20
38.36, 40
42.18, 18
49.11, 12
52.28, 13
52.35, 9
55.37, 10
66.64, 6
74.59, 8


# 6
For Hf3B, a cell relaxed with GGA-PBE gives the computed X-ray powder pattern in this record (Cu Kα (weighted mean of Kα1 and Kα2)).
Neutral-atom scattering factors, no anomalous dispersion.

Structural model:
```
4
Lattice="-1.6221 4.2491 2.6939 1.6221 -4.2491 2.6939 1.6221 4.2491 -2.6939" Properties=species:S:1:pos:R:3 pbc="T T T"
Hf 0.0000 0.0000 0.0000
Hf 1.6221 2.6987 -0.0618
Hf 0.0000 1.5504 2.6321
B 0.0000 4.2491 1.0181
```

Principal peaks in the range 10° ≤ 2θ ≤ 80°, in order of rising 2θ:
2θ (°), I (rel.)
29.47, 59
33.26, 60
35.81, 95
38.71, 100
45.02, 41
56.76, 16
61.10, 21
61.60, 17
63.08, 23
67.39, 16
68.95, 29
71.83, 23


# 7
For Ho2HfB2Rh5, a cell relaxed with GGA-PBE gives the computed X-ray powder pattern in this record (Cu Kα (weighted mean of Kα1 and Kα2)).
Neutral-atom scattering factors, no anomalous dispersion.

Structural model:
```
20
Lattice="9.6341 0.0000 0.0000 0.0000 9.6341 0.0000 0.0000 0.0000 3.2482" Properties=species:S:1:pos:R:3 pbc="T T T"
Ho 1.6839 3.1332 0.0000
Ho 3.1332 7.9503 0.0000
Ho 6.5009 1.6839 0.0000
Ho 7.9503 6.5009 0.0000
Hf 0.0000 0.0000 0.0000
Hf 4.8171 4.8171 0.0000
B 1.1514 5.9685 0.0000
B 3.6656 1.1514 0.0000
B 5.9685 8.4827 0.0000
B 8.4827 3.6656 0.0000
Rh 0.0000 4.8171 1.6241
Rh 0.6821 7.4792 1.6241
Rh 2.1549 0.6821 1.6241
Rh 2.6622 5.4992 1.6241
Rh 4.1349 2.6622 1.6241
Rh 4.8171 0.0000 1.6241
Rh 5.4992 6.9720 1.6241
Rh 6.9720 4.1349 1.6241
Rh 7.4792 8.9520 1.6241
Rh 8.9520 2.1549 1.6241
```

Principal peaks in the range 10° ≤ 2θ ≤ 80°, in order of rising 2θ:
2θ (°), I (rel.)
34.58, 74
38.29, 41
38.53, 62
40.60, 100
41.94, 40
43.87, 21
56.68, 19
63.13, 17
64.77, 22
68.76, 17
70.63, 21
72.95, 16


# 8
For HfB4Ir3, a cell relaxed with GGA-PBE gives the computed X-ray powder pattern in this record (Cu Kα (weighted mean of Kα1 and Kα2)).
Neutral-atom scattering factors, no anomalous dispersion.

Structural model:
```
16
Lattice="7.6234 0.0000 0.0000 -3.8117 6.6020 0.0000 0.0000 0.0000 3.5219" Properties=species:S:1:pos:R:3 pbc="T T T"
Hf 0.0000 4.4014 0.8805
Hf 3.8117 2.2007 2.6414
B 0.0000 0.0000 0.0000
B 0.0000 0.0000 1.7609
B -1.9080 3.9779 2.6414
B 1.3207 2.9607 2.6414
B 3.2245 0.3366 0.8805
B 0.5872 6.2655 2.6414
B 2.4910 3.6413 0.8805
B 5.7197 2.6242 0.8805
Ir -0.6922 2.1942 2.6414
Ir -1.5653 6.1044 2.6414
Ir 1.5541 1.6966 0.8805
Ir 2.2576 4.9054 2.6414
Ir 5.3770 0.4976 0.8805
Ir 4.5039 4.4078 0.8805
```

Principal peaks in the range 10° ≤ 2θ ≤ 80°, in order of rising 2θ:
2θ (°), I (rel.)
27.01, 31
34.68, 78
35.99, 26
37.34, 100
41.01, 34
44.50, 19
49.80, 32
51.93, 18
56.66, 17
67.29, 28
74.80, 19
77.15, 24


Please write out number 7 again, unchanged.
For Ho2HfB2Rh5, a cell relaxed with GGA-PBE gives the computed X-ray powder pattern in this record (Cu Kα (weighted mean of Kα1 and Kα2)).
Neutral-atom scattering factors, no anomalous dispersion.

Structural model:
```
20
Lattice="9.6341 0.0000 0.0000 0.0000 9.6341 0.0000 0.0000 0.0000 3.2482" Properties=species:S:1:pos:R:3 pbc="T T T"
Ho 1.6839 3.1332 0.0000
Ho 3.1332 7.9503 0.0000
Ho 6.5009 1.6839 0.0000
Ho 7.9503 6.5009 0.0000
Hf 0.0000 0.0000 0.0000
Hf 4.8171 4.8171 0.0000
B 1.1514 5.9685 0.0000
B 3.6656 1.1514 0.0000
B 5.9685 8.4827 0.0000
B 8.4827 3.6656 0.0000
Rh 0.0000 4.8171 1.6241
Rh 0.6821 7.4792 1.6241
Rh 2.1549 0.6821 1.6241
Rh 2.6622 5.4992 1.6241
Rh 4.1349 2.6622 1.6241
Rh 4.8171 0.0000 1.6241
Rh 5.4992 6.9720 1.6241
Rh 6.9720 4.1349 1.6241
Rh 7.4792 8.9520 1.6241
Rh 8.9520 2.1549 1.6241
```

Principal peaks in the range 10° ≤ 2θ ≤ 80°, in order of rising 2θ:
2θ (°), I (rel.)
34.58, 74
38.29, 41
38.53, 62
40.60, 100
41.94, 40
43.87, 21
56.68, 19
63.13, 17
64.77, 22
68.76, 17
70.63, 21
72.95, 16